Na2U2PtSe6: theoretical PXRD pattern (Cu Ka), based on a cell relaxed with PBE.
Peak positions follow from Bragg's law for the DFT cell and can differ from measured ones.

Cell and atoms:
```
11
Lattice="3.4078 -5.9413 0.0000 3.4078 5.9413 0.0000 -2.1656 0.0000 7.2487" Properties=species:S:1:pos:R:3 pbc="T T T"
Na 3.4078 4.0037 0.0000
Na 3.4078 -4.0037 0.0000
U 2.3250 2.0275 3.6243
U 2.3250 -2.0275 3.6243
Pt -1.0828 0.0000 3.6243
Se 0.0946 1.9630 5.2938
Se 0.9898 0.0000 2.1062
Se 0.0946 -1.9630 5.2938
Se 4.5554 1.9630 1.9549
Se 3.6602 0.0000 5.1425
Se 4.5554 -1.9630 1.9549
```

Most intense lines, 2θ = 10–90°, by angle:
2θ 12.21, I = 100
2θ 26.32, I = 27
2θ 30.75, I = 71
2θ 31.18, I = 32
2θ 42.62, I = 26
2θ 46.06, I = 23

Na3Si5Pt6: theoretical PXRD pattern (Cu Ka), based on a cell relaxed with PBE.
Peak positions follow from Bragg's law for the DFT cell and can differ from measured ones.

Cell and atoms:
```
28
Lattice="3.9646 0.0000 0.0000 0.0000 12.6727 0.0000 0.0000 0.0000 9.7877" Properties=species:S:1:pos:R:3 pbc="T T T"
Na 0.9912 1.3068 2.4385
Na 0.9912 5.0295 2.4385
Na 0.9912 9.5045 2.5580
Na 2.9735 3.1682 7.2297
Na 2.9735 7.6432 7.3492
Na 2.9735 11.3659 7.3492
Si 0.9912 0.9126 8.2333
Si 0.9912 5.4238 8.2333
Si 0.9912 7.9980 5.0400
Si 0.9912 9.5045 8.8152
Si 0.9912 11.0110 5.0400
Si 2.9735 1.6617 4.7477
Si 2.9735 3.1682 0.9725
Si 2.9735 4.6746 4.7477
Si 2.9735 7.2489 1.5544
Si 2.9735 11.7601 1.5544
Pt 0.9912 0.5682 5.8979
Pt 0.9912 3.1682 4.8555
Pt 0.9912 3.1682 9.4114
Pt 0.9912 5.7681 5.8979
Pt 0.9912 7.3479 0.1384
Pt 0.9912 11.6611 0.1384
Pt 2.9735 1.0115 9.6493
Pt 2.9735 5.3248 9.6493
Pt 2.9735 6.9046 3.8898
Pt 2.9735 9.5045 0.3763
Pt 2.9735 9.5045 4.9322
Pt 2.9735 12.1045 3.8898
```

Most intense lines, 2θ = 10–90°, by angle:
2θ 18.13, I = 100
2θ 32.30, I = 68
2θ 36.09, I = 66
2θ 43.38, I = 24
2θ 45.77, I = 26
2θ 48.74, I = 52

Na2SiPt3: theoretical PXRD pattern (Cu Ka), based on a cell relaxed with PBE.
Peak positions follow from Bragg's law for the DFT cell and can differ from measured ones.

Cell and atoms:
```
6
Lattice="2.7644 1.5960 3.8700 -2.7644 1.5960 3.8700 0.0000 -3.1920 3.8700" Properties=species:S:1:pos:R:3 pbc="T T T"
Na 0.0000 0.0000 1.3903
Na 0.0000 0.0000 10.2196
Si 0.0000 0.0000 5.8049
Pt -1.3822 -0.7980 3.8700
Pt -1.3822 0.7980 7.7399
Pt 0.0000 1.5960 3.8700
```

Most intense lines, 2θ = 10–90°, by angle:
2θ 20.06, I = 52
2θ 22.98, I = 96
2θ 38.39, I = 100
2θ 40.09, I = 33
2θ 40.77, I = 92
2θ 49.34, I = 45

NaSiPt2: theoretical PXRD pattern (Cu Ka), based on a cell relaxed with PBE.
Peak positions follow from Bragg's law for the DFT cell and can differ from measured ones.

Cell and atoms:
```
8
Lattice="3.9255 0.0000 0.0000 0.0000 3.9255 0.0000 0.0000 0.0000 9.0985" Properties=species:S:1:pos:R:3 pbc="T T T"
Na 0.9814 0.9814 1.9960
Na 2.9441 2.9441 7.1025
Si 0.9814 0.9814 6.0604
Si 2.9441 2.9441 3.0381
Pt 0.9814 0.9814 8.3171
Pt 0.9814 2.9441 4.5493
Pt 2.9441 0.9814 4.5493
Pt 2.9441 2.9441 0.7814
```

Most intense lines, 2θ = 10–90°, by angle:
2θ 19.51, I = 48
2θ 30.07, I = 20
2θ 33.76, I = 100
2θ 37.47, I = 28
2θ 46.25, I = 33
2θ 51.98, I = 22

Na4Si2Pt3: theoretical PXRD pattern (Cu Ka), based on a cell relaxed with PBE.
Peak positions follow from Bragg's law for the DFT cell and can differ from measured ones.

Cell and atoms:
```
9
Lattice="8.4985 -1.8428 0.0000 8.4985 1.8428 0.0000 -1.3831 0.0000 6.4679" Properties=species:S:1:pos:R:3 pbc="T T T"
Na 0.7200 0.0000 2.5346
Na 3.5089 0.0000 5.0886
Na 12.1050 0.0000 1.3793
Na 14.8940 0.0000 3.9333
Si 0.1966 0.0000 5.9731
Si 15.4173 0.0000 0.4948
Pt 6.0408 0.0000 1.5647
Pt 8.4985 0.0000 0.0000
Pt 9.5732 0.0000 4.9032
```

Most intense lines, 2θ = 10–90°, by angle:
2θ 10.65, I = 49
2θ 13.69, I = 40
2θ 19.07, I = 100
2θ 24.74, I = 49
2θ 28.94, I = 42
2θ 33.75, I = 41

Na2Si7Pt12: theoretical PXRD pattern (Cu Ka), based on a cell relaxed with PBE.
Peak positions follow from Bragg's law for the DFT cell and can differ from measured ones.

Cell and atoms:
```
21
Lattice="10.0173 0.0000 0.0000 -5.0087 8.6753 0.0000 0.0000 0.0000 3.8272" Properties=species:S:1:pos:R:3 pbc="T T T"
Na 0.0000 0.0000 0.0000
Na 0.0000 5.7835 1.9136
Si -1.5023 3.9401 0.0000
Si 1.5189 1.8754 1.9136
Si -0.8453 8.0063 0.0000
Si 2.3476 5.4041 0.0000
Si 5.0087 2.8917 0.0000
Si 7.6338 0.3777 1.9136
Si 5.8734 6.4222 1.9136
Pt -0.8364 2.2976 1.9136
Pt -2.4193 6.1761 0.0000
Pt -2.6007 8.2508 1.9136
Pt 0.8697 3.4921 0.0000
Pt 3.0956 1.5503 0.0000
Pt 3.0173 3.8387 1.9136
Pt 5.1843 0.6938 1.9136
Pt 1.5496 7.6824 0.0000
Pt 3.4371 6.8021 1.9136
Pt 4.8034 5.2192 0.0000
Pt 7.1269 1.9058 0.0000
Pt 6.8244 4.1428 1.9136
```

Most intense lines, 2θ = 10–90°, by angle:
2θ 17.71, I = 26
2θ 27.20, I = 21
2θ 36.07, I = 100
2θ 44.48, I = 20
2θ 45.58, I = 25
2θ 48.06, I = 19

Na2Si4Pt5: theoretical PXRD pattern (Cu Ka), based on a cell relaxed with PBE.
Peak positions follow from Bragg's law for the DFT cell and can differ from measured ones.

Cell and atoms:
```
11
Lattice="0.0000 4.8956 7.3589 2.7576 0.0000 7.3589 2.7576 4.8956 0.0000" Properties=species:S:1:pos:R:3 pbc="T T T"
Na 2.7576 4.8956 1.8289
Na 2.7576 4.8956 12.8888
Si 2.7576 3.3244 5.4682
Si 2.7576 3.3244 9.2495
Si 2.7576 6.4667 5.4682
Si 2.7576 6.4667 9.2495
Pt 1.3788 2.4478 0.0000
Pt 1.3788 2.4478 3.6794
Pt 1.3788 2.4478 7.3589
Pt 2.7576 4.8956 7.3589
Pt 4.1364 7.3433 11.0383
```

Most intense lines, 2θ = 10–90°, by angle:
2θ 18.12, I = 92
2θ 24.19, I = 86
2θ 30.39, I = 52
2θ 37.43, I = 84
2θ 44.45, I = 54
2θ 45.07, I = 100

NaSmPt: theoretical PXRD pattern (Cu Ka), based on a cell relaxed with PBE.
Peak positions follow from Bragg's law for the DFT cell and can differ from measured ones.

Cell and atoms:
```
6
Lattice="0.0000 2.9391 8.9440 2.8925 0.0000 8.9440 2.8925 2.9391 0.0000" Properties=species:S:1:pos:R:3 pbc="T T T"
Na 2.8925 1.4074 8.9440
Na 2.8925 4.4708 8.9440
Sm 2.8925 2.9391 5.6791
Sm 2.8925 2.9391 12.2089
Pt 2.8925 2.9391 2.7464
Pt 2.8925 2.9391 15.1417
```

Most intense lines, 2θ = 10–90°, by angle:
2θ 29.97, I = 81
2θ 30.41, I = 78
2θ 30.92, I = 100
2θ 41.58, I = 53
2θ 43.60, I = 59
2θ 43.92, I = 58